No. 1
Structure and computed powder X-ray diffraction pattern of KNbAgTeS2 (a crystal structure in OQMD, relaxed with GGA-PBE; λ = 1.5418 Å (Cu Kα)).

The 8 most intense peaks (5° ≤ 2θ ≤ 70°), sorted by position:
- d = 8.025 Å, I = 1000
- d = 5.256 Å, I = 113
- d = 2.904 Å, I = 436
- d = 2.628 Å, I = 223
- d = 2.620 Å, I = 339
- d = 2.288 Å, I = 126
- d = 2.194 Å, I = 264
- d = 1.726 Å, I = 120

Structural model:
```
data_KNbAgTeS2
_symmetry_space_group_name_H-M 'P 1'
_symmetry_Int_Tables_number 1
_cell_length_a 8.2310
_cell_length_b 8.2310
_cell_length_c 10.5118
_cell_angle_alpha 90.00
_cell_angle_beta 90.00
_cell_angle_gamma 154.30
loop_
_symmetry_equiv_pos_as_xyz
'x,y,z'
loop_
_atom_site_label
_atom_site_type_symbol
_atom_site_fract_x
_atom_site_fract_y
_atom_site_fract_z
K1 K 0.2188 0.7812 0.7500
K2 K 0.7812 0.2188 0.2500
Nb1 Nb 0.0000 0.0000 0.0000
Nb2 Nb 0.0000 0.0000 0.5000
Ag1 Ag 0.4625 0.5375 0.2500
Ag2 Ag 0.5375 0.4625 0.7500
Te1 Te 0.0926 0.9074 0.2500
Te2 Te 0.9074 0.0926 0.7500
S1 S 0.3933 0.6067 0.0433
S2 S 0.3933 0.6067 0.4567
S3 S 0.6067 0.3933 0.5433
S4 S 0.6067 0.3933 0.9567
```

***

No. 2
Structure and computed powder X-ray diffraction pattern of Na2TcTe3 (a crystal structure in OQMD, relaxed with GGA-PBE; λ = 1.5418 Å (Cu Kα)).

The 8 most intense peaks (5° ≤ 2θ ≤ 70°), sorted by position:
- d = 7.410 Å, I = 556
- d = 3.451 Å, I = 222
- d = 3.059 Å, I = 513
- d = 3.042 Å, I = 1000
- d = 2.392 Å, I = 215
- d = 2.206 Å, I = 312
- d = 2.111 Å, I = 293
- d = 2.090 Å, I = 195

Structural model:
```
data_Na2TcTe3
_symmetry_space_group_name_H-M 'P 1'
_symmetry_Int_Tables_number 1
_cell_length_a 7.2637
_cell_length_b 7.2637
_cell_length_c 7.7987
_cell_angle_alpha 99.06
_cell_angle_beta 99.06
_cell_angle_gamma 119.33
loop_
_symmetry_equiv_pos_as_xyz
'x,y,z'
loop_
_atom_site_label
_atom_site_type_symbol
_atom_site_fract_x
_atom_site_fract_y
_atom_site_fract_z
Na1 Na 0.0000 0.0000 0.0000
Na2 Na 0.1487 0.8513 0.5000
Na3 Na 0.5000 0.5000 0.5000
Na4 Na 0.8513 0.1487 0.5000
Tc1 Tc 0.3268 0.6732 0.0000
Tc2 Tc 0.6732 0.3268 0.0000
Te1 Te 0.0734 0.4537 0.2123
Te2 Te 0.3109 0.3109 0.7976
Te3 Te 0.4537 0.0734 0.2123
Te4 Te 0.5463 0.9266 0.7877
Te5 Te 0.6891 0.6891 0.2024
Te6 Te 0.9266 0.5463 0.7877
```

***

No. 3
Structure and computed powder X-ray diffraction pattern of SiAg8S2O4 (a crystal structure in OQMD, relaxed with GGA-PBE; λ = 1.5418 Å (Cu Kα)).

The 8 most intense peaks (5° ≤ 2θ ≤ 70°), sorted by position:
- d = 4.870 Å, I = 228
- d = 2.939 Å, I = 1000
- d = 2.607 Å, I = 610
- d = 2.517 Å, I = 219
- d = 2.435 Å, I = 192
- d = 2.126 Å, I = 197
- d = 2.077 Å, I = 260
- d = 1.843 Å, I = 325

Structural model:
```
data_SiAg8S2O4
_symmetry_space_group_name_H-M 'P 1'
_symmetry_Int_Tables_number 1
_cell_length_a 11.0425
_cell_length_b 11.0425
_cell_length_c 11.0425
_cell_angle_alpha 140.98
_cell_angle_beta 140.98
_cell_angle_gamma 56.37
loop_
_symmetry_equiv_pos_as_xyz
'x,y,z'
loop_
_atom_site_label
_atom_site_type_symbol
_atom_site_fract_x
_atom_site_fract_y
_atom_site_fract_z
Si1 Si 0.3750 0.6250 0.7500
Si2 Si 0.6250 0.3750 0.2500
Ag1 Ag 0.0249 0.7749 0.2500
Ag2 Ag 0.0751 0.3251 0.1501
Ag3 Ag 0.0751 0.9249 0.7500
Ag4 Ag 0.2235 0.4735 0.7500
Ag5 Ag 0.2251 0.9751 0.2500
Ag6 Ag 0.3251 0.0751 0.6501
Ag7 Ag 0.3251 0.6749 0.2500
Ag8 Ag 0.4735 0.2235 0.2500
Ag9 Ag 0.5265 0.7765 0.7500
Ag10 Ag 0.6749 0.3251 0.7500
Ag11 Ag 0.6749 0.9249 0.3499
Ag12 Ag 0.7749 0.0249 0.7500
Ag13 Ag 0.7765 0.5265 0.2500
Ag14 Ag 0.9249 0.0751 0.2500
Ag15 Ag 0.9249 0.6749 0.8499
Ag16 Ag 0.9751 0.2251 0.7500
S1 S 0.1033 0.3533 0.7500
S2 S 0.3533 0.1033 0.2500
S3 S 0.6467 0.8967 0.7500
S4 S 0.8967 0.6467 0.2500
O1 O 0.2605 0.6804 0.5800
O2 O 0.3196 0.3996 0.5800
O3 O 0.3196 0.7395 0.9200
O4 O 0.3996 0.3196 0.0800
O5 O 0.6004 0.6804 0.9200
O6 O 0.6804 0.2605 0.0800
O7 O 0.6804 0.6004 0.4200
O8 O 0.7395 0.3196 0.4200
```

***

No. 4
Structure and computed powder X-ray diffraction pattern of Fe2Re3 (a crystal structure in OQMD, relaxed with GGA-PBE; λ = 1.5418 Å (Cu Kα)).

The 8 most intense peaks (5° ≤ 2θ ≤ 70°), sorted by position:
- d = 3.682 Å, I = 133
- d = 2.852 Å, I = 233
- d = 2.604 Å, I = 168
- d = 2.126 Å, I = 1000
- d = 2.017 Å, I = 613
- d = 1.923 Å, I = 283
- d = 1.503 Å, I = 126
- d = 1.426 Å, I = 84

Structural model:
```
data_Fe2Re3
_symmetry_space_group_name_H-M 'P 1'
_symmetry_Int_Tables_number 1
_cell_length_a 6.3775
_cell_length_b 6.3775
_cell_length_c 6.3775
_cell_angle_alpha 90.00
_cell_angle_beta 90.00
_cell_angle_gamma 90.00
loop_
_symmetry_equiv_pos_as_xyz
'x,y,z'
loop_
_atom_site_label
_atom_site_type_symbol
_atom_site_fract_x
_atom_site_fract_y
_atom_site_fract_z
Fe1 Fe 0.0589 0.0589 0.0589
Fe2 Fe 0.1911 0.8089 0.3089
Fe3 Fe 0.3089 0.1911 0.8089
Fe4 Fe 0.4411 0.9411 0.5589
Fe5 Fe 0.5589 0.4411 0.9411
Fe6 Fe 0.6911 0.6911 0.6911
Fe7 Fe 0.8089 0.3089 0.1911
Fe8 Fe 0.9411 0.5589 0.4411
Re1 Re 0.0520 0.8750 0.6980
Re2 Re 0.1250 0.1980 0.4480
Re3 Re 0.1980 0.4480 0.1250
Re4 Re 0.3020 0.5520 0.6250
Re5 Re 0.3750 0.8020 0.9480
Re6 Re 0.4480 0.1250 0.1980
Re7 Re 0.5520 0.6250 0.3020
Re8 Re 0.6250 0.3020 0.5520
Re9 Re 0.6980 0.0520 0.8750
Re10 Re 0.8020 0.9480 0.3750
Re11 Re 0.8750 0.6980 0.0520
Re12 Re 0.9480 0.3750 0.8020
```